No. 1
This entry pairs a crystal structure of RbMg2C with its simulated powder X-ray diffraction pattern. Radiation: Cu Kα (λ = 1.5418 Å). Structure: a DFT-relaxed cell (GGA-PBE, Alexandria).
Lines closer than 0.1° are merged.

Largest 10 diffraction maxima, low angle first, 2θ = 10–80°:
d (Å)  2theta  Rel. int.
5.669  15.63  13.7
3.471  25.66  100.0
2.960  30.19  84.7
2.834  31.57  10.7
2.004  45.24  39.7
1.890  48.16  30.8
1.736  52.74  29.1
1.552  59.59  11.2
1.497  61.98  10.9
1.312  71.97  19.1

Structure:
abc: 6.9380 6.9380 9.8323
angles: 90.00 90.00 90.00
Space group I4_1/amd (No. 141, origin choice 2)
Asymmetric unit:
Rb 0.0000 0.2500 0.3750
Mg 0.0000 0.0000 0.0000
C 0.0000 0.2500 0.8750

***

No. 2
This entry pairs a crystal structure of RbMgC3 with its simulated powder X-ray diffraction pattern. Radiation: Cu Kα (λ = 1.5418 Å). Structure: a DFT-relaxed cell (GGA-PBE, Alexandria).
Lines closer than 0.1° are merged.

Largest 10 diffraction maxima, low angle first, 2θ = 10–80°:
d (Å)  2theta  Rel. int.
4.411  20.13  26.3
3.119  28.62  100.0
2.547  35.24  31.9
2.206  40.91  36.8
1.973  46.00  13.6
1.801  50.69  41.1
1.560  59.24  22.5
1.395  67.09  17.8
1.330  70.84  10.2
1.273  74.51  7.4

Structure:
abc: 4.4115 4.4115 4.4115
angles: 90.00 90.00 90.00
Space group Pm-3m (No. 221)
Asymmetric unit:
Rb 0.0000 0.0000 0.0000
Mg 0.5000 0.5000 0.5000
C 0.0000 0.5000 0.5000